# AgC4OF9
Simulated powder X-ray diffraction pattern, Cu Kα, 1.54184 Å. Input: a DFT-relaxed cell (GGA-PBE, OQMD).
Intensities are scaled so that the largest is 1000.

Cell and atoms:
Lattice parameters (Å, degrees): 6.2939 9.3461 10.1025 85.04 88.94 88.35
Sites, in units of the cell vectors:
Ag  0.1940  0.4784  0.1775
Ag  0.2932  0.6123  0.9265
Ag  0.7068  0.3877  0.0735
Ag  0.8060  0.5216  0.8225
C  0.0113  0.2937  0.4533
C  0.0641  0.1400  0.2646
C  0.0803  0.7459  0.6777
C  0.2998  0.2079  0.9117
C  0.3026  0.8082  0.6528
C  0.3254  0.8197  0.1733
C  0.4051  0.3246  0.6872
C  0.4809  0.2850  0.8314
C  0.5191  0.7150  0.1686
C  0.5949  0.6754  0.3128
C  0.6746  0.1803  0.8267
C  0.6974  0.1918  0.3472
C  0.7002  0.7921  0.0883
C  0.9197  0.2541  0.3223
C  0.9359  0.8600  0.7354
C  0.9887  0.7063  0.5467
O  0.0931  0.6234  0.7617
O  0.4722  0.5937  0.1093
O  0.5278  0.4063  0.8907
O  0.9069  0.3766  0.2383
F  0.0145  0.1196  0.1384
F  0.0565  0.0133  0.3368
F  0.0682  0.1770  0.5320
F  0.1331  0.6273  0.4830
F  0.1506  0.3062  0.9488
F  0.1754  0.7606  0.2571
F  0.1856  0.3747  0.4301
F  0.1981  0.3672  0.6900
F  0.2009  0.1119  0.8449
F  0.2315  0.8490  0.0541
F  0.2654  0.1869  0.2632
F  0.3155  0.9115  0.5514
F  0.3593  0.8663  0.7653
F  0.3808  0.1394  0.0232
F  0.3843  0.9443  0.2148
F  0.4277  0.2124  0.6125
F  0.4423  0.7012  0.6308
F  0.4845  0.5660  0.3722
F  0.5155  0.4340  0.6278
F  0.5577  0.2988  0.3692
F  0.5723  0.7876  0.3875
F  0.6157  0.0557  0.7852
F  0.6192  0.8606  0.9768
F  0.6407  0.1337  0.2347
F  0.6845  0.0885  0.4486
F  0.7346  0.8131  0.7368
F  0.7685  0.1510  0.9459
F  0.7991  0.8881  0.1551
F  0.8019  0.6328  0.3100
F  0.8144  0.6253  0.5699
F  0.8246  0.2394  0.7429
F  0.8494  0.6938  0.0512
F  0.8669  0.3727  0.5170
F  0.9318  0.8230  0.4680
F  0.9435  0.9867  0.6632
F  0.9855  0.8804  0.8616

Most intense lines, 10 to 90 degrees two-theta, in order of rising 2θ:
| Position (°2θ) | I (rel.) |
| --- | --- |
| 12.39 | 1000 |
| 25.19 | 770 |
| 28.34 | 815 |
| 29.62 | 791 |
| 35.22 | 847 |
| 38.71 | 784 |

---

# Nb4GaSe4S4
Simulated powder X-ray diffraction pattern, Cu Kα, 1.54184 Å. Input: a DFT-relaxed cell (GGA-PBE, OQMD).
Intensities are scaled so that the largest is 1000.

Cell and atoms:
Lattice parameters (Å, degrees): 7.3674 7.3674 7.3674 60.00 60.00 60.00
Sites, in units of the cell vectors:
Nb  0.3984  0.3984  0.3984
Nb  0.3984  0.3984  0.8047
Nb  0.3984  0.8047  0.3984
Nb  0.8047  0.3984  0.3984
Ga  0.0000  0.0000  0.0000
Se  0.1349  0.1349  0.1349
Se  0.1349  0.1349  0.5953
Se  0.1349  0.5953  0.1349
Se  0.5953  0.1349  0.1349
S  0.1142  0.6286  0.6286
S  0.6286  0.1142  0.6286
S  0.6286  0.6286  0.1142
S  0.6286  0.6286  0.6286

Most intense lines, 10 to 90 degrees two-theta, in order of rising 2θ:
| Position (°2θ) | I (rel.) |
| --- | --- |
| 14.73 | 757 |
| 28.41 | 591 |
| 34.43 | 1000 |
| 37.63 | 489 |
| 45.22 | 541 |
| 49.49 | 865 |

---

# CuAg
Simulated powder X-ray diffraction pattern, Cu Kα, 1.54184 Å. Input: a DFT-relaxed cell (GGA-PBE, OQMD).
Intensities are scaled so that the largest is 1000.

Cell and atoms:
Lattice parameters (Å, degrees): 4.7886 5.5582 9.1074 90.00 100.09 90.00
Sites, in units of the cell vectors:
Cu  0.1172  0.0000  0.3680
Cu  0.1285  0.2627  0.8816
Cu  0.1285  0.7373  0.8816
Cu  0.3758  0.5000  0.1115
Cu  0.6242  0.5000  0.8885
Cu  0.8715  0.2627  0.1184
Cu  0.8715  0.7373  0.1184
Cu  0.8828  0.0000  0.6320
Ag  0.1300  0.5000  0.3600
Ag  0.3501  0.0000  0.1182
Ag  0.3662  0.2455  0.6287
Ag  0.3662  0.7545  0.6287
Ag  0.6338  0.2455  0.3713
Ag  0.6338  0.7545  0.3713
Ag  0.6499  0.0000  0.8818
Ag  0.8700  0.5000  0.6400

Most intense lines, 10 to 90 degrees two-theta, in order of rising 2θ:
| Position (°2θ) | I (rel.) |
| --- | --- |
| 39.83 | 1000 |
| 39.97 | 488 |
| 40.23 | 469 |
| 46.44 | 618 |
| 46.56 | 306 |
| 81.76 | 254 |

---

# Nd4InGe4Pd2
Simulated powder X-ray diffraction pattern, Cu Kα, 1.54184 Å. Input: a DFT-relaxed cell (GGA-PBE, OQMD).
Intensities are scaled so that the largest is 1000.

Cell and atoms:
Lattice parameters (Å, degrees): 8.4354 8.4354 7.3461 107.71 107.71 30.44
Sites, in units of the cell vectors:
Nd  0.0909  0.0909  0.3879
Nd  0.1551  0.1551  0.9298
Nd  0.8449  0.8449  0.0702
Nd  0.9091  0.9091  0.6121
In  0.5000  0.5000  0.0000
Ge  0.3007  0.3007  0.7367
Ge  0.4405  0.4405  0.3399
Ge  0.5595  0.5595  0.6601
Ge  0.6993  0.6993  0.2633
Pd  0.2852  0.2852  0.3508
Pd  0.7148  0.7148  0.6492

Most intense lines, 10 to 90 degrees two-theta, in order of rising 2θ:
| Position (°2θ) | I (rel.) |
| --- | --- |
| 31.87 | 615 |
| 33.03 | 1000 |
| 34.39 | 502 |
| 34.64 | 655 |
| 35.42 | 511 |
| 40.74 | 605 |

---

# NdGa6Pt4
Simulated powder X-ray diffraction pattern, Cu Kα, 1.54184 Å. Input: a DFT-relaxed cell (GGA-PBE, OQMD).
Intensities are scaled so that the largest is 1000.

Cell and atoms:
Lattice parameters (Å, degrees): 7.4240 7.4240 4.0462 90.00 90.00 120.00
Sites, in units of the cell vectors:
Nd  0.0000  0.0000  0.0000
Ga  0.1965  0.3929  0.5000
Ga  0.1965  0.8035  0.5000
Ga  0.5334  0.0668  0.0000
Ga  0.5334  0.4666  0.0000
Ga  0.6071  0.8035  0.5000
Ga  0.9332  0.4666  0.0000
Pt  0.3333  0.6667  0.0000
Pt  0.4030  0.2015  0.5000
Pt  0.7985  0.2015  0.5000
Pt  0.7985  0.5970  0.5000

Most intense lines, 10 to 90 degrees two-theta, in order of rising 2θ:
| Position (°2θ) | I (rel.) |
| --- | --- |
| 27.75 | 474 |
| 32.74 | 757 |
| 35.67 | 1000 |
| 36.99 | 674 |
| 43.44 | 881 |
| 48.04 | 678 |

---

# GdIn3Ga
Simulated powder X-ray diffraction pattern, Cu Kα, 1.54184 Å. Input: a DFT-relaxed cell (GGA-PBE, OQMD).
Intensities are scaled so that the largest is 1000.

Cell and atoms:
Lattice parameters (Å, degrees): 4.1085 5.7409 6.3801 116.72 103.20 90.14
Sites, in units of the cell vectors:
Gd  0.0000  0.0000  0.0000
In  0.3465  0.0310  0.5796
In  0.3500  0.5149  0.5328
In  0.5632  0.5965  0.1443
Ga  0.9311  0.4046  0.7938

Most intense lines, 10 to 90 degrees two-theta, in order of rising 2θ:
| Position (°2θ) | I (rel.) |
| --- | --- |
| 30.14 | 446 |
| 30.96 | 616 |
| 32.54 | 448 |
| 34.54 | 413 |
| 35.26 | 1000 |
| 38.71 | 471 |

---

# Nb4Si7Ni4
Simulated powder X-ray diffraction pattern, Cu Kα, 1.54184 Å. Input: a DFT-relaxed cell (GGA-PBE, OQMD).
Intensities are scaled so that the largest is 1000.

Cell and atoms:
Lattice parameters (Å, degrees): 9.2718 9.2718 9.2718 94.17 94.17 148.72
Sites, in units of the cell vectors:
Nb  0.0000  0.1911  0.1911
Nb  0.0000  0.8089  0.8089
Nb  0.1911  0.0000  0.1911
Nb  0.3653  0.3653  0.7306
Nb  0.3653  0.6347  0.0000
Nb  0.6347  0.3653  0.0000
Nb  0.6347  0.6347  0.2694
Nb  0.8089  0.0000  0.8089
Si  0.0000  0.4070  0.4070
Si  0.0000  0.5930  0.5930
Si  0.2076  0.2076  0.4152
Si  0.2076  0.7924  0.0000
Si  0.2090  0.5000  0.7090
Si  0.2506  0.2506  0.0000
Si  0.4070  0.0000  0.4070
Si  0.5000  0.2090  0.7090
Si  0.5000  0.7910  0.2910
Si  0.5930  0.0000  0.5930
Si  0.7494  0.7494  0.0000
Si  0.7910  0.5000  0.2910
Si  0.7924  0.2076  0.0000
Si  0.7924  0.7924  0.5848
Ni  0.1019  0.6019  0.2038
Ni  0.1019  0.8981  0.5000
Ni  0.3981  0.6019  0.5000
Ni  0.3981  0.8981  0.7962
Ni  0.6019  0.1019  0.2038
Ni  0.6019  0.3981  0.5000
Ni  0.8981  0.1019  0.5000
Ni  0.8981  0.3981  0.7962

Most intense lines, 10 to 90 degrees two-theta, in order of rising 2θ:
| Position (°2θ) | I (rel.) |
| --- | --- |
| 40.00 | 1000 |
| 40.41 | 251 |
| 42.68 | 623 |
| 42.98 | 286 |
| 67.33 | 206 |
| 67.83 | 231 |

---

What did the seventh record say?
# Nb4Si7Ni4
Simulated powder X-ray diffraction pattern, Cu Kα, 1.54184 Å. Input: a DFT-relaxed cell (GGA-PBE, OQMD).
Intensities are scaled so that the largest is 1000.

Cell and atoms:
Lattice parameters (Å, degrees): 9.2718 9.2718 9.2718 94.17 94.17 148.72
Sites, in units of the cell vectors:
Nb  0.0000  0.1911  0.1911
Nb  0.0000  0.8089  0.8089
Nb  0.1911  0.0000  0.1911
Nb  0.3653  0.3653  0.7306
Nb  0.3653  0.6347  0.0000
Nb  0.6347  0.3653  0.0000
Nb  0.6347  0.6347  0.2694
Nb  0.8089  0.0000  0.8089
Si  0.0000  0.4070  0.4070
Si  0.0000  0.5930  0.5930
Si  0.2076  0.2076  0.4152
Si  0.2076  0.7924  0.0000
Si  0.2090  0.5000  0.7090
Si  0.2506  0.2506  0.0000
Si  0.4070  0.0000  0.4070
Si  0.5000  0.2090  0.7090
Si  0.5000  0.7910  0.2910
Si  0.5930  0.0000  0.5930
Si  0.7494  0.7494  0.0000
Si  0.7910  0.5000  0.2910
Si  0.7924  0.2076  0.0000
Si  0.7924  0.7924  0.5848
Ni  0.1019  0.6019  0.2038
Ni  0.1019  0.8981  0.5000
Ni  0.3981  0.6019  0.5000
Ni  0.3981  0.8981  0.7962
Ni  0.6019  0.1019  0.2038
Ni  0.6019  0.3981  0.5000
Ni  0.8981  0.1019  0.5000
Ni  0.8981  0.3981  0.7962

Most intense lines, 10 to 90 degrees two-theta, in order of rising 2θ:
| Position (°2θ) | I (rel.) |
| --- | --- |
| 40.00 | 1000 |
| 40.41 | 251 |
| 42.68 | 623 |
| 42.98 | 286 |
| 67.33 | 206 |
| 67.83 | 231 |